# 1
Diffraction record for CsSmMnSe3. The XRD peak list is simulated, not measured: it uses a structure optimized by DFT (PBE) and a wavelength of 1.5418 Å.

Atomic structure:
```
12
Lattice="2.1451 -8.0937 0.0000 2.1451 8.0937 0.0000 0.0000 0.0000 11.3189" Properties=species:S:1:pos:R:3 pbc="T T T"
Cs 2.1451 4.2026 8.4892
Cs 2.1451 -4.2026 2.8297
Sm 2.1451 0.0000 0.0000
Sm 2.1451 0.0000 5.6595
Mn 2.1451 7.4555 2.8297
Mn 2.1451 -7.4555 8.4892
Se 2.1451 6.1796 0.6953
Se 2.1451 6.1796 4.9642
Se 2.1451 0.8466 2.8297
Se 2.1451 -0.8466 8.4892
Se 2.1451 -6.1796 6.3547
Se 2.1451 -6.1796 10.6237
```

The 10 most intense peaks (2θ = 5–70°), low angle first:
- 2θ = 10.93°, intensity 60
- 2θ = 19.14°, intensity 47
- 2θ = 26.54°, intensity 53
- 2θ = 27.71°, intensity 100
- 2θ = 30.96°, intensity 36
- 2θ = 31.62°, intensity 40
- 2θ = 32.07°, intensity 31
- 2θ = 38.29°, intensity 51
- 2θ = 42.13°, intensity 33
- 2θ = 48.50°, intensity 32

=====

# 2
Diffraction record for Rb3Cr. The XRD peak list is simulated, not measured: it uses a structure optimized by DFT (PBE) and a wavelength of 1.5418 Å.

Atomic structure:
```
4
Lattice="6.1828 0.0000 0.0000 0.0000 6.1828 0.0000 0.0000 0.0000 6.1828" Properties=species:S:1:pos:R:3 pbc="T T T"
Rb 0.0000 0.0000 3.0914
Rb 0.0000 3.0914 0.0000
Rb 3.0914 0.0000 0.0000
Cr 3.0914 3.0914 3.0914
```

The 10 most intense peaks (2θ = 5–70°), low angle first:
- 2θ = 14.33°, intensity 3
- 2θ = 20.31°, intensity 2
- 2θ = 24.94°, intensity 100
- 2θ = 28.88°, intensity 51
- 2θ = 41.30°, intensity 38
- 2θ = 48.85°, intensity 46
- 2θ = 51.18°, intensity 13
- 2θ = 59.83°, intensity 6
- 2θ = 65.84°, intensity 18
- 2θ = 67.78°, intensity 17

=====

# 3
Diffraction record for LaRe2W. The XRD peak list is simulated, not measured: it uses a structure optimized by DFT (PBE) and a wavelength of 1.5418 Å.

Atomic structure:
```
16
Lattice="6.6054 0.0000 0.0000 0.0000 6.6054 0.0000 0.0000 0.0000 6.6054" Properties=species:S:1:pos:R:3 pbc="T T T"
La 0.0000 0.0000 0.0000
La 0.0000 3.3027 3.3027
La 3.3027 0.0000 3.3027
La 3.3027 3.3027 0.0000
Re 0.0000 0.0000 3.3027
Re 0.0000 3.3027 0.0000
Re 1.6514 1.6514 1.6514
Re 1.6514 4.9541 4.9541
Re 3.3027 0.0000 0.0000
Re 3.3027 3.3027 3.3027
Re 4.9541 1.6514 4.9541
Re 4.9541 4.9541 1.6514
W 1.6514 1.6514 4.9541
W 1.6514 4.9541 1.6514
W 4.9541 1.6514 1.6514
W 4.9541 4.9541 4.9541
```

The 6 most intense peaks (2θ = 5–70°), low angle first:
- 2θ = 23.33°, intensity 1
- 2θ = 27.00°, intensity 1
- 2θ = 38.55°, intensity 100
- 2θ = 45.55°, intensity 1
- 2θ = 55.66°, intensity 17
- 2θ = 69.75°, intensity 36

=====

# 4
Diffraction record for Ta9P2O25. The XRD peak list is simulated, not measured: it uses a structure optimized by DFT (PBE) and a wavelength of 1.5418 Å.

Atomic structure:
```
36
Lattice="-8.0197 8.0197 1.9528 8.0197 -8.0197 1.9528 8.0197 8.0197 -1.9528" Properties=species:S:1:pos:R:3 pbc="T T T"
Ta 0.0000 0.0000 0.0000
Ta 3.5440 1.5787 0.0000
Ta 10.9506 1.9953 0.0000
Ta 6.4410 -4.4757 1.9528
Ta 1.9953 5.0888 0.0000
Ta 6.0244 2.9309 1.9528
Ta 1.5787 12.4954 0.0000
Ta -2.9309 6.0244 1.9528
Ta 4.4757 6.4410 1.9528
P 8.0197 0.0000 0.9764
P 0.0000 8.0197 0.9764
O 11.5699 0.2380 0.0000
O 1.8616 0.8024 0.0000
O 8.9970 1.3889 0.0000
O 7.2173 -6.1581 1.9528
O 5.6009 2.6078 0.0000
O 12.6424 2.8692 0.0000
O 2.8692 3.3970 0.0000
O 9.8137 4.0142 0.0000
O 0.2380 4.4695 0.0000
O 5.4120 -2.4188 1.9528
O 4.0142 6.2257 0.0000
O 1.3889 7.0424 0.0000
O 0.0000 0.0000 1.9528
O 6.6308 0.9773 1.9528
O 4.0056 1.7940 1.9528
O 2.6078 10.4385 0.0000
O 7.7817 3.5502 1.9528
O -1.7940 4.0056 1.9528
O 5.1505 4.6227 1.9528
O -4.6227 5.1505 1.9528
O 2.4188 5.4120 1.9528
O 0.8024 14.1778 0.0000
O -0.9773 6.6308 1.9528
O 6.1581 7.2173 1.9528
O -3.5502 7.7817 1.9528
```

The 10 most intense peaks (2θ = 5–70°), low angle first:
- 2θ = 17.48°, intensity 30
- 2θ = 23.45°, intensity 50
- 2θ = 24.83°, intensity 100
- 2θ = 25.98°, intensity 21
- 2θ = 30.46°, intensity 36
- 2θ = 32.50°, intensity 48
- 2θ = 35.39°, intensity 26
- 2θ = 37.99°, intensity 27
- 2θ = 53.42°, intensity 21
- 2θ = 54.21°, intensity 20

=====

# 5
Diffraction record for Hf10SiMo3. The XRD peak list is simulated, not measured: it uses a structure optimized by DFT (PBE) and a wavelength of 1.5418 Å.

Atomic structure:
```
28
Lattice="8.6976 0.0000 0.0000 -4.3488 7.5323 0.0000 0.0000 0.0000 8.7484" Properties=species:S:1:pos:R:3 pbc="T T T"
Hf 0.0000 0.0000 0.0000
Hf 0.0000 0.0000 4.3742
Hf -1.6776 4.0530 2.1871
Hf 0.0000 3.0153 4.7652
Hf 0.0000 3.0153 8.3575
Hf -1.7375 6.0247 4.7652
Hf -1.7375 6.0247 8.3575
Hf 2.6113 1.5076 0.3910
Hf 2.6113 1.5076 3.9832
Hf 1.6776 4.0530 2.1871
Hf 0.0000 6.9587 2.1871
Hf 4.3488 0.5737 6.5613
Hf 2.6712 3.4793 6.5613
Hf 1.7375 6.0247 4.7652
Hf 1.7375 6.0247 8.3575
Hf 6.0863 1.5076 0.3910
Hf 6.0863 1.5076 3.9832
Hf 4.3488 4.5171 0.3910
Hf 4.3488 4.5171 3.9832
Hf 6.0264 3.4793 6.5613
Si 0.0000 5.0216 6.5613
Si 4.3488 2.5108 2.1871
Mo 0.0000 1.7423 2.1871
Mo -2.8399 6.6612 2.1871
Mo 1.5089 0.8712 6.5613
Mo 2.8399 6.6612 2.1871
Mo 7.1887 0.8712 6.5613
Mo 4.3488 5.7900 6.5613
```

The 10 most intense peaks (2θ = 5–70°), low angle first:
- 2θ = 31.38°, intensity 52
- 2θ = 32.94°, intensity 23
- 2θ = 37.26°, intensity 46
- 2θ = 37.70°, intensity 100
- 2θ = 39.07°, intensity 29
- 2θ = 41.28°, intensity 17
- 2θ = 41.53°, intensity 25
- 2θ = 62.48°, intensity 25
- 2θ = 64.96°, intensity 24
- 2θ = 65.54°, intensity 25

=====

# 6
Diffraction record for NpAg3. The XRD peak list is simulated, not measured: it uses a structure optimized by DFT (PBE) and a wavelength of 1.5418 Å.

Atomic structure:
```
8
Lattice="6.4941 0.0000 0.0000 -3.2471 5.6241 0.0000 0.0000 0.0000 4.8620" Properties=species:S:1:pos:R:3 pbc="T T T"
Np 0.0000 3.7494 1.2155
Np 3.2471 1.8747 3.6465
Ag 0.0000 1.7182 3.6465
Ag -1.7590 4.7650 3.6465
Ag 1.4880 0.8591 1.2155
Ag 1.7590 4.7650 3.6465
Ag 5.0061 0.8591 1.2155
Ag 3.2471 3.9059 1.2155
```

The 10 most intense peaks (2θ = 5–70°), low angle first:
- 2θ = 24.20°, intensity 15
- 2θ = 27.47°, intensity 6
- 2θ = 31.82°, intensity 20
- 2θ = 36.94°, intensity 100
- 2θ = 46.66°, intensity 5
- 2θ = 49.57°, intensity 11
- 2θ = 56.70°, intensity 14
- 2θ = 62.54°, intensity 5
- 2θ = 66.60°, intensity 14
- 2θ = 69.63°, intensity 26

=====

# 7
Diffraction record for Cs3H5Pt. The XRD peak list is simulated, not measured: it uses a structure optimized by DFT (PBE) and a wavelength of 1.5418 Å.

Atomic structure:
```
18
Lattice="8.3982 0.0000 0.0000 0.0000 8.3982 0.0000 0.0000 0.0000 6.2066" Properties=species:S:1:pos:R:3 pbc="T T T"
Cs 0.0000 0.0000 0.0000
Cs 1.5662 2.6329 3.1033
Cs 2.6329 6.8320 3.1033
Cs 4.1991 4.1991 0.0000
Cs 5.7653 1.5662 3.1033
Cs 6.8320 5.7653 3.1033
H 0.0000 0.0000 3.1033
H 0.8290 5.0281 1.1787
H 0.8290 5.0281 5.0279
H 3.3701 0.8290 1.1787
H 3.3701 0.8290 5.0279
H 4.1991 4.1991 3.1033
H 5.0281 7.5692 1.1787
H 5.0281 7.5692 5.0279
H 7.5692 3.3701 1.1787
H 7.5692 3.3701 5.0279
Pt 0.0000 4.1991 0.0000
Pt 4.1991 0.0000 0.0000
```

The 10 most intense peaks (2θ = 5–70°), low angle first:
- 2θ = 23.69°, intensity 14
- 2θ = 25.61°, intensity 100
- 2θ = 27.76°, intensity 19
- 2θ = 28.77°, intensity 25
- 2θ = 30.10°, intensity 27
- 2θ = 42.12°, intensity 21
- 2θ = 45.61°, intensity 9
- 2θ = 49.09°, intensity 17
- 2θ = 50.80°, intensity 12
- 2θ = 57.35°, intensity 9

=====

# 8
Diffraction record for InRh3. The XRD peak list is simulated, not measured: it uses a structure optimized by DFT (PBE) and a wavelength of 1.5418 Å.

Atomic structure:
```
8
Lattice="5.6525 0.0000 0.0000 -2.8263 4.8952 0.0000 0.0000 0.0000 4.5461" Properties=species:S:1:pos:R:3 pbc="T T T"
In 0.0000 3.2635 1.1365
In 2.8263 1.6317 3.4096
Rh 0.0000 1.5913 3.4096
Rh -1.4481 4.0996 3.4096
Rh 1.3781 0.7957 1.1365
Rh 1.4481 4.0996 3.4096
Rh 4.2744 0.7957 1.1365
Rh 2.8263 3.3039 1.1365
```

The 6 most intense peaks (2θ = 5–70°), low angle first:
- 2θ = 26.76°, intensity 1
- 2θ = 36.72°, intensity 24
- 2θ = 39.65°, intensity 26
- 2θ = 41.92°, intensity 100
- 2θ = 55.14°, intensity 15
- 2θ = 66.12°, intensity 17